[1]
For ReNF6, a crystal structure in the Materials Project, relaxed with GGA-PBE gives the calculated powder diffraction line list in this record (Cu Kα X-rays).

Main lines, in order of rising 2θ (2θ = 10–80°):
2θ = 18.32°, I 57
2θ = 19.01°, I 50
2θ = 19.59°, I 40
2θ = 20.54°, I 45
2θ = 20.66°, I 100
2θ = 22.55°, I 19
2θ = 24.02°, I 45
2θ = 24.94°, I 20
2θ = 33.46°, I 20
2θ = 34.88°, I 19

Crystal structure
Lattice parameters (Å, degrees): 5.4576 9.5939 10.2849 90.00 109.65 90.00
Fractional positions:
Re: 0.1880 0.1103 0.2851
Re: 0.1880 0.3897 0.7851
Re: 0.8120 0.6103 0.2149
Re: 0.8120 0.8897 0.7149
N: 0.4049 0.2249 0.3982
N: 0.4049 0.2751 0.8982
N: 0.5951 0.7249 0.1018
N: 0.5951 0.7751 0.6018
F: 0.0583 0.0097 0.8408
F: 0.0583 0.4903 0.3408
F: 0.1114 0.6973 0.2011
F: 0.1114 0.8027 0.7011
F: 0.1615 0.2144 0.1256
F: 0.1615 0.2856 0.6256
F: 0.1811 0.5195 0.9214
F: 0.1811 0.9805 0.4214
F: 0.4416 0.5023 0.7504
F: 0.4416 0.9977 0.2504
F: 0.4440 0.6848 0.5201
F: 0.4440 0.8152 0.0201
F: 0.5560 0.1848 0.9799
F: 0.5560 0.3152 0.4799
F: 0.5584 0.0023 0.7496
F: 0.5584 0.4977 0.2496
F: 0.8189 0.0195 0.5786
F: 0.8189 0.4805 0.0786
F: 0.8385 0.7144 0.3744
F: 0.8385 0.7856 0.8744
F: 0.8886 0.1973 0.2989
F: 0.8886 0.3027 0.7989
F: 0.9417 0.5097 0.6592
F: 0.9417 0.9903 0.1592

---

[2]
For KSrI3, a crystal structure in the Materials Project, relaxed with GGA-PBE gives the calculated powder diffraction line list in this record (Cu Kα X-rays).

Main lines, in order of rising 2θ (2θ = 10–80°):
2θ = 24.33°, I 38
2θ = 24.72°, I 100
2θ = 25.26°, I 84
2θ = 26.32°, I 71
2θ = 29.29°, I 99
2θ = 37.40°, I 40
2θ = 37.56°, I 77
2θ = 45.27°, I 29
2θ = 45.50°, I 38
2θ = 61.20°, I 32

Crystal structure
Lattice parameters (Å, degrees): 8.1735 8.1735 12.1720 90.00 90.00 145.94
Fractional positions:
K: 0.2469 0.7531 0.7500
K: 0.7531 0.2469 0.2500
Sr: 0.0000 0.0000 0.0000
Sr: 0.0000 0.0000 0.5000
I: 0.0822 0.9178 0.2500
I: 0.3603 0.6397 0.0589
I: 0.3603 0.6397 0.4411
I: 0.6397 0.3603 0.5589
I: 0.6397 0.3603 0.9411
I: 0.9178 0.0822 0.7500

---

[3]
For CaCdPb, a crystal structure in the Materials Project, relaxed with GGA-PBE gives the calculated powder diffraction line list in this record (Cu Kα X-rays).

Main lines, in order of rising 2θ (2θ = 10–80°):
2θ = 18.52°, I 23
2θ = 22.62°, I 86
2θ = 29.37°, I 29
2θ = 32.23°, I 77
2θ = 37.54°, I 27
2θ = 39.70°, I 100
2θ = 44.26°, I 20
2θ = 55.76°, I 25
2θ = 62.45°, I 39
2θ = 75.18°, I 19

Crystal structure
Lattice parameters (Å, degrees): 7.8723 7.8723 4.7912 90.00 90.00 120.00
Fractional positions:
Ca: 0.0000 0.5759 0.0000
Ca: 0.4241 0.4241 0.0000
Ca: 0.5759 0.0000 0.0000
Cd: 0.0000 0.2510 0.5000
Cd: 0.2510 0.0000 0.5000
Cd: 0.7490 0.7490 0.5000
Pb: 0.0000 0.0000 0.0000
Pb: 0.3333 0.6667 0.5000
Pb: 0.6667 0.3333 0.5000

---

[4]
For Ba2CuS2O2, a crystal structure in the Materials Project, relaxed with GGA-PBE gives the calculated powder diffraction line list in this record (Cu Kα X-rays).

Main lines, in order of rising 2θ (2θ = 10–80°):
2θ = 10.40°, I 33
2θ = 21.40°, I 18
2θ = 30.07°, I 100
2θ = 30.44°, I 66
2θ = 37.21°, I 24
2θ = 38.44°, I 35
2θ = 43.59°, I 33
2θ = 53.87°, I 44
2θ = 59.50°, I 18
2θ = 71.71°, I 18

Crystal structure
Lattice parameters (Å, degrees): 4.1529 4.1529 8.5067 90.00 90.00 90.00
Fractional positions:
Ba: 0.0000 0.0000 0.2190
Ba: 0.0000 0.0000 0.7810
Cu: 0.5000 0.5000 0.0000
S: 0.5000 0.5000 0.3764
S: 0.5000 0.5000 0.6236
O: 0.0000 0.5000 0.0000
O: 0.5000 0.0000 0.0000

---

[5]
For RbRhO3, a crystal structure in the Materials Project, relaxed with GGA-PBE gives the calculated powder diffraction line list in this record (Cu Kα X-rays).

Main lines, in order of rising 2θ (2θ = 10–80°):
2θ = 21.99°, I 6
2θ = 31.29°, I 100
2θ = 38.57°, I 1
2θ = 44.84°, I 34
2θ = 50.48°, I 2
2θ = 55.69°, I 39
2θ = 65.28°, I 20
2θ = 69.79°, I 1
2θ = 74.17°, I 17

Crystal structure
Lattice parameters (Å, degrees): 4.0427 4.0427 4.0427 90.00 90.00 90.00
Fractional positions:
Rb: 0.0000 0.0000 0.0000
Rh: 0.5000 0.5000 0.5000
O: 0.0000 0.5000 0.5000
O: 0.5000 0.0000 0.5000
O: 0.5000 0.5000 0.0000

---

[6]
For Na3ScBr6, a crystal structure in the Materials Project, relaxed with GGA-PBE gives the calculated powder diffraction line list in this record (Cu Kα X-rays).

Main lines, in order of rising 2θ (2θ = 10–80°):
2θ = 15.35°, I 20
2θ = 26.93°, I 17
2θ = 27.60°, I 100
2θ = 36.40°, I 32
2θ = 37.74°, I 9
2θ = 42.29°, I 25
2θ = 42.55°, I 12
2θ = 47.98°, I 22
2θ = 50.85°, I 10
2θ = 51.25°, I 10

Crystal structure
Lattice parameters (Å, degrees): 7.4039 7.4039 13.2450 90.00 90.00 120.00
Fractional positions:
Na: 0.0000 0.0000 0.2500
Na: 0.0000 0.0000 0.7500
Na: 0.3333 0.6667 0.0384
Na: 0.3333 0.6667 0.4616
Na: 0.6667 0.3333 0.5384
Na: 0.6667 0.3333 0.9616
Sc: 0.3333 0.6667 0.7500
Sc: 0.6667 0.3333 0.2500
Br: 0.0487 0.3681 0.6305
Br: 0.0487 0.6806 0.8695
Br: 0.3194 0.3681 0.8695
Br: 0.3194 0.9513 0.6305
Br: 0.3681 0.0487 0.1305
Br: 0.3681 0.3194 0.3695
Br: 0.6319 0.6806 0.6305
Br: 0.6319 0.9513 0.8695
Br: 0.6806 0.0487 0.3695
Br: 0.6806 0.6319 0.1305
Br: 0.9513 0.3194 0.1305
Br: 0.9513 0.6319 0.3695